No. 1
Structure and computed PXRD pattern of Ba2Nd2MgCo4O11 (a PBE+U-relaxed structure; Cu Kα (λ = 1.5418 Å)).

Largest 6 diffraction maxima, by intensity, 10 to 90 degrees two-theta:
two_theta  intensity  hkl
31.98  100  1 2 0
30.46  93  0 2 2
31.57  91  1 0 2
55.36  45  1 4 2
38.64  39  1 2 2
57.43  30  2 2 2

Structure:
```
Ba2Nd2MgCo4O11
1.0
3.8324 0.0000 0.0000
0.0000 8.1891 0.0000
0.0000 0.0000 8.4179
Ba Nd Mg Co O
2 2 1 4 11
Direct
0.0000 0.0000 0.2273
0.0000 0.0000 0.7727
0.0000 0.5000 0.2096
0.0000 0.5000 0.7904
0.5000 0.5000 0.5000
0.5000 0.2213 0.5000
0.5000 0.2553 0.0000
0.5000 0.7447 0.0000
0.5000 0.7787 0.5000
0.0000 0.2651 0.0000
0.0000 0.3413 0.5000
0.0000 0.6587 0.5000
0.0000 0.7349 0.0000
0.5000 0.0000 0.0000
0.5000 0.0000 0.5000
0.5000 0.3121 0.2796
0.5000 0.3121 0.7204
0.5000 0.5000 0.0000
0.5000 0.6879 0.2796
0.5000 0.6879 0.7204
```

No. 2
Structure and computed PXRD pattern of BaNdMgCo2O6 (a PBE+U-relaxed structure; Cu Kα (λ = 1.5418 Å)).

Largest 6 diffraction maxima, by intensity, 10 to 90 degrees two-theta:
two_theta  intensity  hkl
28.22  100  0 1 2
28.67  96  1 1 0
33.00  85  1 0 2
32.89  81  0 2 0
47.28  62  1 2 2
37.00  42  1 1 2

Structure:
```
BaNdMgCo2O6
1.0
3.7952 0.0000 0.0000
0.0000 5.4462 0.0000
0.0000 0.0000 7.7686
Ba Nd Mg Co O
1 1 1 2 6
Direct
0.0000 0.0000 0.0000
0.0000 0.0000 0.5000
0.0000 0.5000 0.0000
0.5000 0.5000 0.2698
0.5000 0.5000 0.7302
0.0000 0.5000 0.2432
0.0000 0.5000 0.7568
0.5000 0.0000 0.2883
0.5000 0.0000 0.7117
0.5000 0.5000 0.0000
0.5000 0.5000 0.5000
```

No. 3
Structure and computed PXRD pattern of BaNdMgCo2O6 (a PBE+U-relaxed structure; Cu Kα (λ = 1.5418 Å)).

Largest 6 diffraction maxima, by intensity, 10 to 90 degrees two-theta:
two_theta  intensity  hkl
27.96  100  0 1 2
28.55  93  1 1 0
46.73  85  0 0 4
32.14  82  0 2 0
33.04  80  1 0 2
36.87  39  1 1 2

Structure:
```
BaNdMgCo2O6
1.0
3.7784 0.0000 0.0000
0.0000 5.5704 0.0000
0.0000 0.0000 7.7857
Ba Nd Mg Co O
1 1 1 2 6
Direct
0.0000 0.0000 0.0000
0.0000 0.0000 0.5000
0.0000 0.5000 0.5000
0.5000 0.5000 0.2337
0.5000 0.5000 0.7663
0.0000 0.5000 0.2578
0.0000 0.5000 0.7422
0.5000 0.0000 0.2996
0.5000 0.0000 0.7004
0.5000 0.5000 0.0000
0.5000 0.5000 0.5000
```

No. 4
Structure and computed PXRD pattern of Ba2MgCo2O6 (a PBE+U-relaxed structure; Cu Kα (λ = 1.5418 Å)).

Largest 6 diffraction maxima, by intensity, 10 to 90 degrees two-theta:
two_theta  intensity  hkl
23.03  100  1 -1 0
29.97  92  1 1 2
31.39  72  0 2 1
34.14  47  2 0 1
42.52  45  2 1 0
42.73  44  -2 1 1

Structure:
```
Ba2MgCo2O6
1.0
5.3115 0.0000 0.0000
0.0243 5.6995 0.0000
1.8614 2.8296 5.3539
Ba Mg Co O
2 1 2 6
Direct
0.1859 0.2052 0.0879
0.8141 0.7948 0.9121
0.5000 0.0000 0.5000
0.0000 0.5000 0.5000
0.5000 0.5000 0.5000
0.2319 0.1788 0.6485
0.2365 0.6700 0.6485
0.2961 0.6447 0.2095
0.7039 0.3553 0.7905
0.7635 0.3300 0.3515
0.7681 0.8212 0.3515
```

No. 5
Structure and computed PXRD pattern of BaMg6CoO8 (a PBE+U-relaxed structure; Cu Kα (λ = 1.5418 Å)).

Largest 6 diffraction maxima, by intensity, 10 to 90 degrees two-theta:
two_theta  intensity  hkl
39.27  100  2 0 0
34.09  60  1 1 2
57.42  53  2 0 4
40.15  42  0 0 4
29.27  41  1 1 1
56.75  30  2 2 0

Structure:
```
BaMg6CoO8
1.0
4.5883 0.0000 0.0000
0.0000 4.5883 0.0000
0.0000 0.0000 8.9837
Ba Mg Co O
1 6 1 8
Direct
0.0000 0.0000 0.0000
0.0000 0.0000 0.5000
0.0000 0.5000 0.2698
0.0000 0.5000 0.7302
0.5000 0.0000 0.2698
0.5000 0.0000 0.7302
0.5000 0.5000 0.5000
0.5000 0.5000 0.0000
0.0000 0.0000 0.2826
0.0000 0.0000 0.7174
0.0000 0.5000 0.0000
0.0000 0.5000 0.5000
0.5000 0.0000 0.0000
0.5000 0.0000 0.5000
0.5000 0.5000 0.2613
0.5000 0.5000 0.7387
```

No. 6
Structure and computed PXRD pattern of BaMgCo4O8 (a PBE+U-relaxed structure; Cu Kα (λ = 1.5418 Å)).

Largest 6 diffraction maxima, by intensity, 10 to 90 degrees two-theta:
two_theta  intensity  hkl
31.18  100  1 0 2
33.76  90  1 1 0
61.42  39  2 -1 4
46.61  35  2 0 2
58.78  33  2 1 2
35.97  30  2 -1 1

Structure:
```
BaMgCo4O8
1.0
5.3106 0.0000 0.0000
-2.6553 4.5991 0.0000
0.0000 0.0000 7.3393
Ba Mg Co O
1 1 4 8
Direct
0.0000 0.0000 0.0000
0.0000 0.0000 0.5000
0.3333 0.6667 0.2530
0.3333 0.6667 0.7470
0.6667 0.3333 0.2530
0.6667 0.3333 0.7470
0.0000 0.3171 0.3219
0.0000 0.6829 0.6781
0.3171 0.0000 0.3219
0.3171 0.3171 0.6781
0.3333 0.6667 0.0000
0.6667 0.3333 0.0000
0.6829 0.0000 0.6781
0.6829 0.6829 0.3219
```